The following is a simulated powder X-ray diffraction pattern of Na2CoAsO4. It was derived from a cell relaxed with GGA+U, using Cu Kα (λ = 1.5418 Å).
Kinematic intensities with the Lorentz-polarization factor, no thermal factor.

Unit cell a=7.928 b=6.425 c=5.768 alpha=90.00 beta=133.39 gamma=90.00
Space group C2 (No. 5)
Asymmetric unit:
Na  0.000  0.000  0.000 x2
Na  0.000  0.237  0.500 x2
Co  0.000  0.750  0.500 x2
As  0.000  0.503  0.000 x2
O  0.162  0.663  0.972 x4
O  0.186  0.347  0.340 x4

Principal peaks in the range 5° ≤ 2θ ≤ 70°, in order of rising 2θ:
- 2θ 20.7, I = 100
- 2θ 31.1, I = 59
- 2θ 35.2, I = 63
- 2θ 36.0, I = 64
- 2θ 57.4, I = 38
- 2θ 59.0, I = 30